Structure and calculated powder X-ray diffraction pattern of KFe3C4O12 (a DFT-relaxed cell (PBE+U, Alexandria); Cu Kα, 1.54184 Å).
Intensities are scaled so that the largest is 100.

Structure:
a b c (Å): 9.7153 9.7153 8.2413
angles (deg): 90.00 90.00 120.00
Space group R32 (No. 155, hexagonal axes)
Asymmetric unit:
1 K 0.0000 0.0000 0.0000 [3 per cell]
2 Fe 0.0000 0.5445 0.0000 [9 per cell]
3 C 0.0000 0.0000 0.5000 [3 per cell]
4 C 0.0000 0.4551 0.5000 [9 per cell]
5 O 0.0000 0.5919 0.5000 [9 per cell]
6 O 0.0000 0.8661 0.5000 [9 per cell]
7 O 0.0047 0.2095 0.2055 [18 per cell]

Top 10 peaks for 2θ = 15–90°, in order of rising 2θ:
hkl, d [Å], two_theta, Rel. int.
1 1 0, 4.858, 18.26, 12
0 2 1, 3.747, 23.75, 23
2 1 1, 2.967, 30.12, 17
2 0 2, 2.944, 30.36, 100
2 2 0, 2.429, 37.01, 14
4 0 1, 2.038, 44.45, 9
3 1 2, 2.031, 44.63, 28
0 2 4, 1.850, 49.25, 17
2 2 3, 1.820, 50.13, 16
3 3 0, 1.619, 56.86, 12